Starting from a cell relaxed with PBE, the X-ray diffraction stick pattern of BaV2NiS8 was calculated for Cu Kα X-rays.
Kinematic intensities with the Lorentz-polarization factor, no thermal factor.

Atomic structure:
Cell lengths 9.369, 9.369, 9.369 Å; angles 36.93, 36.93, 36.93 degrees
Element x y z (fractional)
Ba1 0.000 0.000 0.000
V1 0.241 0.241 0.241
V2 0.759 0.759 0.759
Ni1 0.500 0.500 0.500
S1 0.141 0.438 0.764
S2 0.236 0.859 0.562
S3 0.323 0.323 0.323
S4 0.438 0.764 0.141
S5 0.562 0.236 0.859
S6 0.677 0.677 0.677
S7 0.764 0.141 0.438
S8 0.859 0.562 0.236

Main lines, sorted by position (15 to 90 degrees two-theta):
two_theta  I (rel.)
22.0  100
30.1  42
30.8  25
31.9  49
32.4  23
36.6  44
37.6  26
48.9  23
52.1  39
53.5  32